Sr2Mn2O5: simulated X-ray diffraction stick pattern (Cu Kα (weighted mean of Kα1 and Kα2)), based on a cell relaxed with GGA+U.

Atomic structure:
a b c (Å): 5.624 11.026 3.856
angles (deg): 90.00 90.00 90.00
Space group Pbam (No. 55)
Inequivalent atoms, fractional coordinates:
Sr 0.214 0.133 0.000 (multiplicity 4)
Mn 0.241 0.376 0.500 (multiplicity 4)
O 0.000 0.000 0.500 (multiplicity 2)
O 0.031 0.729 0.500 (multiplicity 4)
O 0.202 0.401 0.000 (multiplicity 4)

Largest 12 diffraction maxima, sorted by position, 10° ≤ 2θ ≤ 80°:
h k l	Position (°2θ)	Rel. int.
2 0 0	31.82	206
0 4 0	32.50	1000
2 0 1	39.67	52
0 4 1	40.22	58
2 4 0	46.11	241
0 0 2	47.14	140
3 2 1	57.13	128
1 6 1	57.97	228
0 4 2	58.41	78
2 4 2	68.06	166
3 6 1	76.70	58
1 2 3	78.24	61